Entry 1:
For BaAl2H8Pd, a cell relaxed with GGA-PBE gives the calculated X-ray diffraction stick pattern in this record (Cu Kα (weighted mean of Kα1 and Kα2)).

Largest 10 diffraction maxima, by intensity, 10 to 90 degrees two-theta:
2θ/deg, I_rel, hkl
27.55, 100, 1 0 4
23.19, 63, 0 1 2
37.81, 44, 1 1 0
40.85, 29, 0 1 8
46.18, 24, 1 1 6
47.41, 22, 0 2 4
62.17, 20, 2 1 4
25.53, 19, 0 0 6
66.48, 18, 0 1 14
48.80, 13, 1 0 10

Structure:
Cell lengths 4.7591, 4.7591, 20.9324 Å; angles 90.00, 90.00, 120.00 degrees
Space group R-3 (No. 148, hexagonal axes)
Asymmetric unit:
Ba1 0.0000 0.0000 0.0000
Al1 0.0000 0.0000 0.2299
H1 0.0000 0.0000 0.3127
H2 0.0106 0.3224 0.1122
Pd1 0.0000 0.0000 0.5000

Entry 2:
For Ba2AlH6Pd, a cell relaxed with GGA-PBE gives the calculated X-ray diffraction stick pattern in this record (Cu Kα (weighted mean of Kα1 and Kα2)).

Largest 10 diffraction maxima, by intensity, 10 to 90 degrees two-theta:
2θ/deg, I_rel, hkl
30.44, 100, 1 1 2
32.61, 42, 2 0 0
56.85, 33, 3 1 2
52.68, 22, 2 0 4
46.78, 19, 2 2 0
18.94, 14, 1 0 1
63.34, 12, 2 2 4
40.18, 12, 0 0 4
85.70, 10, 3 1 6
22.90, 10, 1 1 0

Structure:
Cell lengths 5.491, 5.491, 8.978 Å; angles 90.00, 90.00, 90.00 degrees
Space group I4mm (No. 107)
Asymmetric unit:
Ba1 0.000 0.500 0.000
Al1 0.000 0.000 0.271
H1 0.000 0.000 0.078
H2 0.000 0.000 0.535
H3 0.245 0.245 0.772
Pd1 0.000 0.000 0.738

Entry 3:
For Ba2AlHg7, a cell relaxed with GGA-PBE gives the calculated X-ray diffraction stick pattern in this record (Cu Kα (weighted mean of Kα1 and Kα2)).

Largest 10 diffraction maxima, by intensity, 10 to 90 degrees two-theta:
2θ/deg, I_rel, hkl
29.87, 100, 1 1 2
37.51, 80, 2 0 0
38.87, 64, 1 1 4
28.13, 63, 1 0 3
40.20, 46, 1 0 5
19.79, 38, 1 0 1
56.14, 33, 2 1 5
47.53, 31, 2 1 3
54.09, 29, 2 2 0
71.28, 26, 2 0 8

Structure:
Cell lengths 4.796, 4.796, 12.692 Å; angles 90.00, 90.00, 90.00 degrees
Space group P-4m2 (No. 115)
Asymmetric unit:
Ba1 0.000 0.500 0.245
Al1 0.500 0.500 0.000
Hg1 0.000 0.000 0.000
Hg2 0.000 0.000 0.500
Hg3 0.000 0.500 0.645
Hg4 0.000 0.500 0.875
Hg5 0.500 0.500 0.500

Entry 4:
For Ba2Al7Hg, a cell relaxed with GGA-PBE gives the calculated X-ray diffraction stick pattern in this record (Cu Kα (weighted mean of Kα1 and Kα2)).

Largest 10 diffraction maxima, by intensity, 10 to 90 degrees two-theta:
2θ/deg, I_rel, hkl
31.54, 100, 1 1 2
20.70, 57, 1 0 1
30.60, 50, 1 0 3
38.81, 40, 2 0 0
50.21, 25, 2 1 3
65.75, 24, 3 1 2
44.67, 19, 1 0 5
24.85, 18, 1 0 2
56.41, 17, 1 1 6
44.38, 16, 2 1 1

Structure:
Cell lengths 4.641, 4.641, 11.278 Å; angles 90.00, 90.00, 90.00 degrees
Space group P-4m2 (No. 115)
Asymmetric unit:
Ba1 0.000 0.500 0.247
Al1 0.000 0.000 0.000
Al2 0.000 0.500 0.632
Al3 0.000 0.500 0.870
Al4 0.500 0.500 0.000
Al5 0.500 0.500 0.500
Hg1 0.000 0.000 0.500

Entry 5:
For Ba2Mg4AlHg3, a cell relaxed with GGA-PBE gives the calculated X-ray diffraction stick pattern in this record (Cu Kα (weighted mean of Kα1 and Kα2)).

Largest 10 diffraction maxima, by intensity, 10 to 90 degrees two-theta:
2θ/deg, I_rel, hkl
29.91, 100, 1 1 2
28.75, 84, 1 0 3
23.48, 82, 1 0 2
37.03, 81, 2 0 0
41.65, 55, 1 0 5
26.99, 50, 1 1 1
47.53, 43, 2 1 3
56.93, 42, 2 1 5
25.95, 37, 1 1 0
53.37, 34, 2 2 0

Structure:
Cell lengths 4.857, 4.857, 12.117 Å; angles 90.00, 90.00, 90.00 degrees
Space group P-4m2 (No. 115)
Asymmetric unit:
Ba1 0.000 0.500 0.241
Mg1 0.000 0.000 0.500
Mg2 0.000 0.500 0.877
Mg3 0.500 0.500 0.500
Al1 0.500 0.500 0.000
Hg1 0.000 0.000 0.000
Hg2 0.000 0.500 0.638

Entry 6:
For BaMg2AlHg4, a cell relaxed with GGA-PBE gives the calculated X-ray diffraction stick pattern in this record (Cu Kα (weighted mean of Kα1 and Kα2)).

Largest 10 diffraction maxima, by intensity, 10 to 90 degrees two-theta:
2θ/deg, I_rel, hkl
37.16, 100, 1 1 0
24.15, 74, 1 0 4
31.47, 68, 0 1 8
29.37, 53, 1 0 7
38.54, 37, 0 1 11
58.82, 35, 1 1 15
25.67, 21, 0 1 5
36.08, 21, 1 0 10
49.47, 20, 2 0 8
63.47, 19, 1 2 8

Structure:
Cell lengths 4.8384, 4.8384, 30.9486 Å; angles 90.00, 90.00, 120.00 degrees
Space group R-3m (No. 166, hexagonal axes)
Asymmetric unit:
Ba1 0.0000 0.0000 0.0000
Mg1 0.0000 0.0000 0.2304
Al1 0.0000 0.0000 0.5000
Hg1 0.0000 0.0000 0.1288
Hg2 0.0000 0.0000 0.4017